Entry 1:
Calculated powder diffraction line list of U2PaMn2C4 for Cu Kα, 1.54184 Å, from a GGA-PBE-relaxed structure.

Largest 6 diffraction maxima, in order of rising 2θ, 10° ≤ 2θ ≤ 90°:
| two_theta | intensity |
| --- | --- |
| 27.84 | 67 |
| 28.64 | 74 |
| 32.93 | 56 |
| 35.78 | 75 |
| 37.75 | 35 |
| 42.19 | 100 |

Atomic structure:
```
U2PaMn2C4
1.0
6.612 -1.609 0.000
6.612 1.609 0.000
-1.925 0.000 5.441
U Pa Mn C
2 1 2 4
Direct
0.131 0.131 0.029
0.869 0.869 0.971
0.000 0.000 0.500
0.316 0.316 0.490
0.684 0.684 0.510
0.230 0.230 0.720
0.457 0.457 0.776
0.543 0.543 0.224
0.770 0.770 0.280
```

***

Entry 2:
Calculated powder diffraction line list of NaPbBrF2 for Cu Kα, 1.54184 Å, from a GGA-PBE-relaxed structure.

Largest 6 diffraction maxima, in order of rising 2θ, 10° ≤ 2θ ≤ 90°:
| two_theta | intensity |
| --- | --- |
| 13.11 | 100 |
| 25.13 | 96 |
| 30.36 | 46 |
| 33.19 | 44 |
| 34.19 | 83 |
| 56.43 | 40 |

Atomic structure:
```
NaPbBrF2
1.0
4.164 0.000 0.000
0.000 4.164 0.000
0.000 0.000 6.752
Na Pb Br F
1 1 1 2
Direct
0.000 0.000 0.000
0.500 0.500 0.663
0.000 0.000 0.428
0.000 0.500 0.860
0.500 0.000 0.860
```

***

Entry 3:
Calculated powder diffraction line list of Tb3Si2AsRh9 for Cu Kα, 1.54184 Å, from a GGA-PBE-relaxed structure.

Largest 6 diffraction maxima, in order of rising 2θ, 10° ≤ 2θ ≤ 90°:
| two_theta | intensity |
| --- | --- |
| 10.27 | 19 |
| 31.16 | 25 |
| 35.11 | 97 |
| 39.65 | 100 |
| 46.39 | 23 |
| 59.86 | 28 |

Atomic structure:
```
Tb3Si2AsRh9
1.0
6.181 0.000 0.000
-3.090 5.353 0.000
0.000 0.000 8.611
Tb Si As Rh
3 2 1 9
Direct
0.000 0.000 0.000
0.333 0.667 0.714
0.667 0.333 0.286
0.333 0.667 0.171
0.667 0.333 0.829
0.000 0.000 0.500
0.000 0.500 0.000
0.147 0.294 0.285
0.147 0.853 0.285
0.294 0.147 0.715
0.500 0.000 0.000
0.500 0.500 0.000
0.706 0.853 0.285
0.853 0.147 0.715
0.853 0.706 0.715
```

***

Entry 4:
Calculated powder diffraction line list of Tc2AgO6F2 for Cu Kα, 1.54184 Å, from a GGA-PBE-relaxed structure.

Largest 6 diffraction maxima, in order of rising 2θ, 10° ≤ 2θ ≤ 90°:
| two_theta | intensity |
| --- | --- |
| 22.21 | 100 |
| 27.75 | 52 |
| 35.09 | 21 |
| 45.32 | 17 |
| 45.92 | 25 |
| 55.79 | 15 |

Atomic structure:
```
Tc2AgO6F2
1.0
6.428 0.000 0.000
-3.214 5.567 0.000
0.000 0.000 5.758
Tc Ag O F
2 1 6 2
Direct
0.333 0.667 0.195
0.667 0.333 0.805
0.000 0.000 0.500
0.186 0.371 0.290
0.186 0.814 0.290
0.371 0.186 0.710
0.629 0.814 0.290
0.814 0.186 0.710
0.814 0.629 0.710
0.333 0.667 0.869
0.667 0.333 0.131
```